[1]
The following is a theoretical powder diffraction line list of Nd2Tm. It was derived from a structure optimized by DFT (GGA-PBE), using λ = 1.5418 Å (Cu Kα).
Intensities are scaled so that the largest is 100.

Structure:
Cell: 3.6082 3.6082 26.7487 Å, 90.00 90.00 120.00°
Space group R-3m (No. 166, hexagonal axes)
Symmetry-distinct sites (fractional):
Nd (0.0000, 0.0000, 0.2254) x6
Tm (0.0000, 0.0000, 0.0000) x3

Principal peaks in the range 10° ≤ 2θ ≤ 80°, by intensity:
- 31.60 deg, rel. 100, (1 0 4)
- 33.20 deg, rel. 74, (0 1 5)
- 30.07 deg, rel. 48, (0 0 9)
- 59.98 deg, rel. 41, (1 1 9)
- 28.76 deg, rel. 35, (1 0 1)
- 50.59 deg, rel. 34, (1 1 0)
- 53.31 deg, rel. 26, (1 0 13)
- 39.47 deg, rel. 23, (0 1 8)
- 60.89 deg, rel. 15, (0 2 4)
- 56.45 deg, rel. 13, (0 1 14)
- 61.87 deg, rel. 12, (2 0 5)
- 76.57 deg, rel. 9, (0 2 13)


[2]
The following is a theoretical powder diffraction line list of YAlPd. It was derived from a structure optimized by DFT (GGA-PBE), using λ = 1.5418 Å (Cu Kα).
Intensities are scaled so that the largest is 100.

Structure:
Cell: 7.1654 7.1654 4.0823 Å, 90.00 90.00 120.00°
Space group P-62m (No. 189)
Symmetry-distinct sites (fractional):
Y (0.0000, 0.5838, 0.0000) x3
Al (0.0000, 0.2370, 0.5000) x3
Pd (0.0000, 0.0000, 0.0000) x1
Pd (0.3333, 0.6667, 0.5000) x2

Principal peaks in the range 10° ≤ 2θ ≤ 80°, by intensity:
- 36.37 deg, rel. 100, (2 0 1)
- 33.27 deg, rel. 62, (1 1 1)
- 24.85 deg, rel. 39, (1 1 0)
- 44.55 deg, rel. 32, (2 1 1)
- 43.76 deg, rel. 31, (3 0 0)
- 44.38 deg, rel. 24, (0 0 2)
- 69.99 deg, rel. 22, (3 2 1)
- 64.09 deg, rel. 19, (3 0 2)
- 26.13 deg, rel. 19, (1 0 1)
- 38.38 deg, rel. 18, (2 1 0)
- 58.17 deg, rel. 15, (3 1 1)
- 50.98 deg, rel. 13, (2 2 0)


[3]
The following is a theoretical powder diffraction line list of U3O10. It was derived from a structure optimized by DFT (GGA-PBE), using λ = 1.5418 Å (Cu Kα).
Intensities are scaled so that the largest is 100.

Structure:
Cell: 5.596 5.855 7.291 Å, 74.68 70.94 73.08°
Space group P-1 (No. 2)
Symmetry-distinct sites (fractional):
U (0.000, 0.000, 0.000) x1
U (0.446, 0.560, 0.268) x2
O (0.090, 0.926, 0.239) x2
O (0.211, 0.369, 0.349) x2
O (0.301, 0.690, 0.956) x2
O (0.313, 0.235, 0.852) x2
O (0.327, 0.681, 0.543) x2

Principal peaks in the range 10° ≤ 2θ ≤ 80°, by intensity:
- 20.80 deg, rel. 100, (1 1 0)
- 18.78 deg, rel. 53, (0 1 1)
- 27.33 deg, rel. 47, (1 0 2)
- 42.30 deg, rel. 38, (2 2 0)
- 26.21 deg, rel. 38, (1 -1 0)
- 28.25 deg, rel. 34, (0 1 2)
- 28.62 deg, rel. 24, (1 -1 1)
- 24.37 deg, rel. 23, (1 0 -1)
- 33.58 deg, rel. 19, (0 1 -2)
- 13.08 deg, rel. 17, (0 0 1)
- 32.55 deg, rel. 17, (0 2 0)
- 35.58 deg, rel. 16, (2 1 2)


[4]
The following is a theoretical powder diffraction line list of Zr2Ag. It was derived from a structure optimized by DFT (GGA-PBE), using λ = 1.5418 Å (Cu Kα).
Intensities are scaled so that the largest is 100.

Structure:
Cell: 3.262 3.262 12.198 Å, 90.00 90.00 90.00°
Space group I4/mmm (No. 139)
Symmetry-distinct sites (fractional):
Zr (0.000, 0.000, 0.164) x4
Ag (0.000, 0.000, 0.500) x2

Principal peaks in the range 10° ≤ 2θ ≤ 80°, by intensity:
- 35.27 deg, rel. 100, (1 0 3)
- 39.05 deg, rel. 38, (1 1 0)
- 68.31 deg, rel. 27, (2 1 3)
- 60.73 deg, rel. 20, (1 1 6)
- 44.57 deg, rel. 13, (0 0 6)
- 56.42 deg, rel. 12, (2 0 0)
- 74.60 deg, rel. 11, (2 0 6)
- 76.04 deg, rel. 10, (1 0 9)
- 14.52 deg, rel. 1, (0 0 2)
- 46.48 deg, rel. 1, (1 0 5)
- 28.32 deg, rel. 1, (1 0 1)


[5]
The following is a theoretical powder diffraction line list of BiOF. It was derived from a structure optimized by DFT (GGA-PBE), using λ = 1.5418 Å (Cu Kα).
Intensities are scaled so that the largest is 100.

Structure:
Cell: 5.830 5.872 6.080 Å, 90.00 96.33 90.00°
Space group P2_1/c (No. 14)
Symmetry-distinct sites (fractional):
Bi (0.242, 0.045, 0.192) x4
O (0.076, 0.170, 0.869) x4
F (0.442, 0.746, 0.481) x4

Principal peaks in the range 10° ≤ 2θ ≤ 80°, by intensity:
- 25.17 deg, rel. 100, (1 1 -1)
- 27.11 deg, rel. 70, (1 1 1)
- 30.86 deg, rel. 27, (2 0 0)
- 21.10 deg, rel. 25, (0 1 1)
- 43.90 deg, rel. 24, (2 2 0)
- 47.73 deg, rel. 22, (0 1 3)
- 30.44 deg, rel. 18, (0 2 0)
- 50.44 deg, rel. 17, (3 1 -1)
- 29.57 deg, rel. 17, (0 0 2)
- 42.95 deg, rel. 15, (0 2 2)
- 34.97 deg, rel. 15, (1 0 2)
- 21.54 deg, rel. 13, (1 1 0)


[6]
The following is a theoretical powder diffraction line list of Sm2NiB10. It was derived from a structure optimized by DFT (GGA-PBE), using λ = 1.5418 Å (Cu Kα).
Intensities are scaled so that the largest is 100.

Structure:
Cell: 5.606 11.164 4.174 Å, 90.00 90.00 90.00°
Space group Pbam (No. 55)
Symmetry-distinct sites (fractional):
Sm (0.193, 0.136, 0.000) x4
Ni (0.000, 0.500, 0.500) x2
B (0.037, 0.312, 0.500) x4
B (0.125, 0.959, 0.500) x4
B (0.154, 0.803, 0.500) x4
B (0.203, 0.386, 0.200) x8

Principal peaks in the range 10° ≤ 2θ ≤ 80°, by intensity:
- 31.15 deg, rel. 100, (1 2 1)
- 22.48 deg, rel. 68, (1 2 0)
- 38.81 deg, rel. 47, (0 4 1)
- 49.39 deg, rel. 37, (1 2 2)
- 38.70 deg, rel. 33, (2 0 1)
- 21.29 deg, rel. 28, (0 0 1)
- 27.82 deg, rel. 25, (1 1 1)
- 45.88 deg, rel. 19, (2 4 0)
- 43.36 deg, rel. 18, (0 0 2)
- 39.56 deg, rel. 17, (2 1 1)
- 32.07 deg, rel. 17, (0 4 0)
- 59.63 deg, rel. 14, (3 3 1)


Please write out number 5 again, unchanged.
The following is a theoretical powder diffraction line list of BiOF. It was derived from a structure optimized by DFT (GGA-PBE), using λ = 1.5418 Å (Cu Kα).
Intensities are scaled so that the largest is 100.

Structure:
Cell: 5.830 5.872 6.080 Å, 90.00 96.33 90.00°
Space group P2_1/c (No. 14)
Symmetry-distinct sites (fractional):
Bi (0.242, 0.045, 0.192) x4
O (0.076, 0.170, 0.869) x4
F (0.442, 0.746, 0.481) x4

Principal peaks in the range 10° ≤ 2θ ≤ 80°, by intensity:
- 25.17 deg, rel. 100, (1 1 -1)
- 27.11 deg, rel. 70, (1 1 1)
- 30.86 deg, rel. 27, (2 0 0)
- 21.10 deg, rel. 25, (0 1 1)
- 43.90 deg, rel. 24, (2 2 0)
- 47.73 deg, rel. 22, (0 1 3)
- 30.44 deg, rel. 18, (0 2 0)
- 50.44 deg, rel. 17, (3 1 -1)
- 29.57 deg, rel. 17, (0 0 2)
- 42.95 deg, rel. 15, (0 2 2)
- 34.97 deg, rel. 15, (1 0 2)
- 21.54 deg, rel. 13, (1 1 0)